Structure and simulated X-ray powder pattern of Cs3KMn2F9 (a cell relaxed with GGA+U; copper Kα).

Most intense lines, 15 to 90 degrees two-theta, in order of rising 2θ:
2theta  I (rel.)
19.69  27
27.82  100
28.17  94
34.60  38
40.00  73
49.00  19
49.64  38
57.47  20
58.24  23
65.21  19

Structural model:
Unit cell a=6.337 b=6.337 c=7.904 alpha=90.00 beta=90.00 gamma=120.00
Positions (direct):
Cs  0.000  0.000  0.000
Cs  0.333  0.667  0.655
Cs  0.667  0.333  0.345
K  0.000  0.000  0.500
Mn  0.333  0.667  0.148
Mn  0.667  0.333  0.852
F  0.000  0.500  0.000
F  0.184  0.368  0.296
F  0.184  0.816  0.296
F  0.368  0.184  0.704
F  0.500  0.000  0.000
F  0.500  0.500  0.000
F  0.632  0.816  0.296
F  0.816  0.184  0.704
F  0.816  0.632  0.704